No. 1
Structure and computed X-ray powder pattern of Rb2AlIBr6 (a DFT-relaxed cell (PBE, Alexandria); Cu Ka).
Neutral-atom scattering factors, no anomalous dispersion.

Cell: 8.263 8.263 8.263 Å, 122.26 122.26 86.13°
Element x y z (fractional)
Rb 0.250 0.750 0.500
Rb 0.750 0.250 0.500
Al 0.000 0.000 0.000
I 0.500 0.500 0.000
Br 0.206 0.206 0.000
Br 0.227 0.227 0.455
Br 0.227 0.773 0.000
Br 0.773 0.227 0.000
Br 0.773 0.773 0.545
Br 0.794 0.794 0.000

Peak list (12 most intense, 2θ = 10–90°, most intense first)
two_theta	I_rel
26.78	100
31.72	89
43.93	55
29.59	45
33.56	34
45.47	30
21.56	28
55.19	26
53.56	22
15.71	19
40.66	18
24.78	16

***

No. 2
Structure and computed X-ray powder pattern of PmTmHgPd (a DFT-relaxed cell (PBE, Alexandria); Cu Ka).
Neutral-atom scattering factors, no anomalous dispersion.

Cell: 5.149 5.149 5.149 Å, 60.00 60.00 60.00°
Element x y z (fractional)
Pm 0.000 0.000 0.000
Tm 0.500 0.500 0.500
Hg 0.750 0.750 0.750
Pd 0.250 0.250 0.250

Peak list (10 most intense, 2θ = 10–90°, most intense first)
two_theta	I_rel
34.85	100
62.48	37
50.11	18
84.06	17
73.58	12
21.13	5
41.11	3
54.96	1
77.55	1
66.74	1

***

No. 3
Structure and computed X-ray powder pattern of BiSeBrO4 (a DFT-relaxed cell (PBE, Alexandria); Cu Ka).
Neutral-atom scattering factors, no anomalous dispersion.

Cell: 6.470 6.470 6.884 Å, 101.97 101.97 69.15°
Element x y z (fractional)
Bi 0.217 0.217 0.125
Bi 0.783 0.783 0.875
Se 0.361 0.361 0.733
Se 0.639 0.639 0.267
Br 0.022 0.022 0.756
Br 0.978 0.978 0.244
O 0.138 0.487 0.865
O 0.270 0.270 0.499
O 0.483 0.483 0.248
O 0.487 0.138 0.865
O 0.513 0.862 0.135
O 0.517 0.517 0.752
O 0.730 0.730 0.501
O 0.862 0.513 0.135

Peak list (12 most intense, 2θ = 10–90°, most intense first)
two_theta	I_rel
24.24	100
28.74	94
34.65	65
13.29	56
24.35	45
45.54	37
17.20	32
45.65	30
32.63	30
18.43	23
40.60	22
47.84	20

***

No. 4
Structure and computed X-ray powder pattern of Sm2MgPa (a DFT-relaxed cell (PBE, Alexandria); Cu Ka).
Neutral-atom scattering factors, no anomalous dispersion.

Cell: 3.426 3.426 9.756 Å, 90.00 90.00 90.00°
Element x y z (fractional)
Sm 0.000 0.000 0.249
Sm 0.000 0.000 0.751
Mg 0.500 0.500 0.500
Pa 0.500 0.500 0.000

Peak list (12 most intense, 2θ = 10–90°, most intense first)
two_theta	I_rel
31.92	100
37.12	33
63.67	28
53.30	24
27.60	18
36.85	17
63.31	14
66.73	12
87.48	12
53.50	12
38.16	9
38.29	8

***

No. 5
Structure and computed X-ray powder pattern of Mg2Zn2SnRh5 (a DFT-relaxed cell (PBE, Alexandria); Cu Ka).
Neutral-atom scattering factors, no anomalous dispersion.

Cell: 9.314 9.314 3.717 Å, 90.00 90.00 90.00°
Element x y z (fractional)
Mg 0.169 0.331 0.000
Mg 0.331 0.831 0.000
Mg 0.669 0.169 0.000
Mg 0.831 0.669 0.000
Zn 0.127 0.627 0.000
Zn 0.373 0.127 0.000
Zn 0.627 0.873 0.000
Zn 0.873 0.373 0.000
Sn 0.000 0.000 0.000
Sn 0.500 0.500 0.000
Rh 0.000 0.500 0.500
Rh 0.084 0.804 0.500
Rh 0.196 0.084 0.500
Rh 0.304 0.584 0.500
Rh 0.416 0.304 0.500
Rh 0.500 0.000 0.500
Rh 0.584 0.696 0.500
Rh 0.696 0.416 0.500
Rh 0.804 0.916 0.500
Rh 0.916 0.196 0.500

Peak list (12 most intense, 2θ = 10–90°, most intense first)
two_theta	I_rel
39.02	100
42.62	36
21.33	30
49.02	20
43.45	20
39.91	19
76.77	14
47.08	14
19.06	12
84.92	10
67.56	10
36.45	10

***

No. 6
Structure and computed X-ray powder pattern of MnGa3Cu3 (a DFT-relaxed cell (PBE, Alexandria); Cu Ka).
Neutral-atom scattering factors, no anomalous dispersion.

Cell: 7.296 7.296 4.172 Å, 90.00 90.00 120.00°
Element x y z (fractional)
Mn 0.333 0.667 0.250
Mn 0.667 0.333 0.750
Ga 0.086 0.635 0.750
Ga 0.365 0.450 0.750
Ga 0.450 0.086 0.250
Ga 0.550 0.914 0.750
Ga 0.635 0.550 0.250
Ga 0.914 0.365 0.250
Cu 0.049 0.819 0.250
Cu 0.181 0.230 0.250
Cu 0.230 0.049 0.750
Cu 0.770 0.951 0.250
Cu 0.819 0.770 0.750
Cu 0.951 0.181 0.750

Peak list (12 most intense, 2θ = 10–90°, most intense first)
two_theta	I_rel
43.67	100
37.67	26
43.38	24
84.17	16
79.81	15
67.99	15
58.78	13
84.37	12
80.42	2
32.61	2
14.02	2
62.91	1

***

No. 7
Structure and computed X-ray powder pattern of Pr3Ni8Pt (a DFT-relaxed cell (PBE, Alexandria); Cu Ka).
Neutral-atom scattering factors, no anomalous dispersion.

Cell: 8.867 8.867 8.867 Å, 33.33 33.33 33.33°
Element x y z (fractional)
Pr 0.000 0.000 0.000
Pr 0.130 0.130 0.130
Pr 0.611 0.611 0.611
Ni 0.057 0.057 0.563
Ni 0.057 0.563 0.057
Ni 0.066 0.560 0.560
Ni 0.310 0.310 0.310
Ni 0.560 0.066 0.560
Ni 0.560 0.560 0.066
Ni 0.563 0.057 0.057
Ni 0.810 0.810 0.810
Pt 0.491 0.491 0.491

Peak list (12 most intense, 2θ = 10–90°, most intense first)
two_theta	I_rel
41.58	100
35.29	42
35.11	37
41.40	29
43.55	16
74.64	15
67.62	15
63.23	14
67.51	13
21.38	12
74.21	11
63.34	8

***

No. 8
Structure and computed X-ray powder pattern of C3S8 (a DFT-relaxed cell (PBE, Alexandria); Cu Ka).
Neutral-atom scattering factors, no anomalous dispersion.

Cell: 5.118 9.323 12.651 Å, 99.33 99.14 90.78°
Element x y z (fractional)
C 0.135 0.473 0.318
C 0.143 0.290 0.679
C 0.180 0.355 0.786
C 0.820 0.645 0.214
C 0.857 0.710 0.321
C 0.865 0.527 0.682
S 0.015 0.515 0.814
S 0.066 0.622 0.410
S 0.114 0.962 0.671
S 0.203 0.116 0.924
S 0.295 0.134 0.622
S 0.323 0.340 0.350
S 0.333 0.946 0.821
S 0.389 0.300 0.896
S 0.611 0.700 0.104
S 0.667 0.054 0.179
S 0.677 0.660 0.650
S 0.705 0.866 0.378
S 0.797 0.884 0.076
S 0.886 0.038 0.329
S 0.934 0.378 0.590
S 0.985 0.485 0.186

Peak list (12 most intense, 2θ = 10–90°, most intense first)
two_theta	I_rel
17.86	100
20.41	94
27.37	73
20.09	65
12.94	50
20.85	44
30.39	44
29.00	44
22.28	43
14.38	42
29.73	39
25.19	38